Entry 1:
For NdDyZr2Sb2, a crystal structure in OQMD, relaxed with GGA-PBE gives the calculated powder diffractogram in this record (Cu Kα (λ = 1.5418 Å)).

Top 8 peaks for 10° ≤ 2θ ≤ 90°, sorted by position:
3.049 Å, 29.3°, I = 45
2.868 Å, 31.2°, I = 89
2.812 Å, 31.8°, I = 37
2.657 Å, 33.7°, I = 65
2.471 Å, 36.4°, I = 100
2.156 Å, 41.9°, I = 70
1.711 Å, 53.6°, I = 34
1.674 Å, 54.8°, I = 32

Crystal structure
a = 4.312 Å, b = 4.312 Å, c = 16.870 Å
α = 90.00°, β = 90.00°, γ = 90.00°
Sites, in units of the cell vectors:
Nd (0.000, 0.000, 0.000)
Nd (0.500, 0.500, 0.500)
Dy (0.000, 0.000, 0.354)
Dy (0.500, 0.500, 0.854)
Zr (0.000, 0.500, 0.179)
Zr (0.000, 0.500, 0.679)
Zr (0.500, 0.000, 0.179)
Zr (0.500, 0.000, 0.679)
Sb (0.000, 0.000, 0.549)
Sb (0.000, 0.000, 0.809)
Sb (0.500, 0.500, 0.049)
Sb (0.500, 0.500, 0.309)

Entry 2:
For NdDyZn2Si2, a crystal structure in OQMD, relaxed with GGA-PBE gives the calculated powder diffractogram in this record (Cu Kα (λ = 1.5418 Å)).

Top 8 peaks for 10° ≤ 2θ ≤ 90°, sorted by position:
3.611 Å, 24.7°, I = 27
2.702 Å, 33.2°, I = 100
2.085 Å, 43.4°, I = 37
2.037 Å, 44.5°, I = 10
1.774 Å, 51.5°, I = 9
1.650 Å, 55.7°, I = 23
1.457 Å, 63.9°, I = 20
1.294 Å, 73.1°, I = 20

Crystal structure
a = 4.169 Å, b = 4.169 Å, c = 16.297 Å
α = 90.00°, β = 90.00°, γ = 120.00°
Sites, in units of the cell vectors:
Nd (0.000, 0.000, 0.000)
Nd (0.000, 0.000, 0.500)
Dy (0.000, 0.000, 0.250)
Dy (0.000, 0.000, 0.750)
Zn (0.333, 0.667, 0.139)
Zn (0.333, 0.667, 0.361)
Zn (0.667, 0.333, 0.639)
Zn (0.667, 0.333, 0.861)
Si (0.333, 0.667, 0.624)
Si (0.333, 0.667, 0.876)
Si (0.667, 0.333, 0.124)
Si (0.667, 0.333, 0.376)

Entry 3:
For NdDy2Zn4Si4, a crystal structure in OQMD, relaxed with GGA-PBE gives the calculated powder diffractogram in this record (Cu Kα (λ = 1.5418 Å)).

Top 8 peaks for 10° ≤ 2θ ≤ 90°, sorted by position:
3.681 Å, 24.2°, I = 25
2.662 Å, 33.7°, I = 39
2.618 Å, 34.2°, I = 100
2.058 Å, 44.0°, I = 21
2.031 Å, 44.6°, I = 18
1.970 Å, 46.1°, I = 20
1.628 Å, 56.5°, I = 17
1.414 Å, 66.1°, I = 13

Crystal structure
a = 12.672 Å, b = 12.672 Å, c = 12.672 Å
α = 161.55°, β = 161.31°, γ = 26.38°
Sites, in units of the cell vectors:
Nd (0.000, 0.000, 0.000)
Dy (0.356, 0.856, 0.500)
Dy (0.644, 0.144, 0.500)
Zn (0.095, 0.595, 0.500)
Zn (0.250, 0.250, 0.000)
Zn (0.750, 0.750, 0.000)
Zn (0.905, 0.405, 0.500)
Si (0.190, 0.690, 0.500)
Si (0.452, 0.452, 0.000)
Si (0.548, 0.548, 0.000)
Si (0.810, 0.310, 0.500)

Entry 4:
For NdDyTl2Zn2, a crystal structure in OQMD, relaxed with GGA-PBE gives the calculated powder diffractogram in this record (Cu Kα (λ = 1.5418 Å)).

Top 8 peaks for 10° ≤ 2θ ≤ 90°, sorted by position:
3.590 Å, 24.8°, I = 38
2.760 Å, 32.4°, I = 100
2.363 Å, 38.1°, I = 77
2.129 Å, 42.5°, I = 21
1.795 Å, 50.9°, I = 28
1.466 Å, 63.5°, I = 21
1.429 Å, 65.3°, I = 27
1.364 Å, 68.8°, I = 14

Crystal structure
a = 4.725 Å, b = 4.725 Å, c = 7.477 Å
α = 90.00°, β = 90.00°, γ = 120.00°
Sites, in units of the cell vectors:
Nd (0.000, 0.000, 0.000)
Dy (0.000, 0.000, 0.500)
Tl (0.333, 0.667, 0.771)
Tl (0.667, 0.333, 0.286)
Zn (0.333, 0.667, 0.205)
Zn (0.667, 0.333, 0.692)

Entry 5:
For Dy2Ni3, a crystal structure in OQMD, relaxed with GGA-PBE gives the calculated powder diffractogram in this record (Cu Kα (λ = 1.5418 Å)).

Top 8 peaks for 10° ≤ 2θ ≤ 90°, sorted by position:
3.321 Å, 26.8°, I = 43
3.211 Å, 27.8°, I = 100
2.760 Å, 32.4°, I = 46
2.308 Å, 39.0°, I = 52
2.093 Å, 43.2°, I = 27
1.874 Å, 48.6°, I = 67
1.854 Å, 49.2°, I = 22
1.301 Å, 72.7°, I = 23

Crystal structure
a = 6.650 Å, b = 6.650 Å, c = 6.650 Å
α = 57.74°, β = 57.74°, γ = 57.74°
Sites, in units of the cell vectors:
Dy (0.105, 0.105, 0.105)
Dy (0.395, 0.395, 0.395)
Dy (0.605, 0.605, 0.605)
Dy (0.895, 0.895, 0.895)
Ni (0.037, 0.250, 0.463)
Ni (0.250, 0.463, 0.037)
Ni (0.463, 0.037, 0.250)
Ni (0.537, 0.963, 0.750)
Ni (0.750, 0.537, 0.963)
Ni (0.963, 0.750, 0.537)

Entry 6:
For Dy2Ni, a crystal structure in OQMD, relaxed with GGA-PBE gives the calculated powder diffractogram in this record (Cu Kα (λ = 1.5418 Å)).

Top 8 peaks for 10° ≤ 2θ ≤ 90°, sorted by position:
3.353 Å, 26.6°, I = 55
2.371 Å, 38.0°, I = 100
1.936 Å, 46.9°, I = 16
1.676 Å, 54.8°, I = 17
1.499 Å, 61.9°, I = 22
1.369 Å, 68.6°, I = 35
1.185 Å, 81.1°, I = 11
1.118 Å, 87.2°, I = 11

Crystal structure
a = 6.706 Å, b = 6.706 Å, c = 6.706 Å
α = 90.00°, β = 90.00°, γ = 90.00°
Sites, in units of the cell vectors:
Dy (0.250, 0.250, 0.250)
Dy (0.250, 0.250, 0.750)
Dy (0.250, 0.750, 0.250)
Dy (0.250, 0.750, 0.750)
Dy (0.750, 0.250, 0.250)
Dy (0.750, 0.250, 0.750)
Dy (0.750, 0.750, 0.250)
Dy (0.750, 0.750, 0.750)
Ni (0.000, 0.000, 0.000)
Ni (0.000, 0.500, 0.500)
Ni (0.500, 0.000, 0.500)
Ni (0.500, 0.500, 0.000)